Simulated powder X-ray diffraction pattern of Y2NpN4 for a wavelength of 1.5418 Å, from a cell relaxed with PBE.
Lines closer than 0.1° are merged.

Principal peaks in the range 2θ from 10° to 90°, sorted by position:
2θ = 17.8°, intensity 57, hkl 1 1 0
2θ = 30.7°, intensity 28, hkl 2 0 0
2θ = 31.1°, intensity 100, hkl 1 1 1
2θ = 31.4°, intensity 46, hkl 0 2 1
2θ = 31.7°, intensity 73, hkl 1 3 0
2θ = 44.5°, intensity 43, hkl 2 2 1
2θ = 45.5°, intensity 14, hkl 0 4 1
2θ = 51.9°, intensity 13, hkl 0 0 2
2θ = 54.8°, intensity 14, hkl 3 1 1
2θ = 55.9°, intensity 15, hkl 2 4 1
2θ = 56.5°, intensity 27, hkl 1 5 1
2θ = 62.1°, intensity 22, hkl 1 3 2

Structure:
abc: 5.828 9.670 3.523
angles: 90.00 90.00 90.00
Space group Pbam (No. 55)
Asymmetric unit:
1 Y 0.068 0.178 0.000
2 Np 0.000 0.500 0.500
3 N 0.140 0.694 0.500
4 N 0.229 0.453 0.000